For ErIn5Co, a crystal structure in OQMD, relaxed with GGA-PBE gives the calculated XRD peak list in this record (Cu Kα).
Intensities are scaled so that the largest is 1000.

Unit cell a=4.5865 b=4.5865 c=7.4934 alpha=90.00 beta=90.00 gamma=90.00
Space group P4/mmm (No. 123)
Inequivalent atoms, fractional coordinates:
Er 0.0000 0.0000 0.0000 (multiplicity 1)
In 0.0000 0.5000 0.3050 (multiplicity 4)
In 0.5000 0.5000 0.0000 (multiplicity 1)
Co 0.0000 0.0000 0.5000 (multiplicity 1)

The 8 most intense peaks (2θ from 10° to 80°), by intensity:
(1 1 2), 2.452 Å, I 1000; (2 0 0), 2.293 Å, I 546; (1 1 1), 2.976 Å, I 491; (3 1 2), 1.353 Å, I 293; (1 1 5), 1.360 Å, I 261; (2 0 3), 1.689 Å, I 247; (2 2 0), 1.622 Å, I 218; (0 0 3), 2.498 Å, I 206

For K2HPdCl3, a crystal structure in OQMD, relaxed with GGA-PBE gives the calculated XRD peak list in this record (Cu Kα).
Intensities are scaled so that the largest is 1000.

Unit cell a=8.1677 b=9.9148 c=9.8168 alpha=90.00 beta=90.00 gamma=90.00
Space group Fmm2 (No. 42)
Inequivalent atoms, fractional coordinates:
K 0.2500 0.2500 0.0000 (multiplicity 8)
H 0.0000 0.0000 0.0862 (multiplicity 4)
Pd 0.0000 0.0000 0.2464 (multiplicity 4)
Cl 0.0000 0.0000 0.4951 (multiplicity 4)
Cl 0.0000 0.2344 0.2425 (multiplicity 8)

The 8 most intense peaks (2θ from 10° to 80°), by intensity:
(1 1 1), 5.305 Å, I 1000; (2 0 2), 3.139 Å, I 466; (2 2 0), 3.152 Å, I 227; (1 1 3), 2.904 Å, I 207; (2 4 2), 1.945 Å, I 207; (0 4 0), 2.479 Å, I 199; (0 0 4), 2.454 Å, I 196; (2 0 0), 4.084 Å, I 174

For Zr6Zn23Si, a crystal structure in OQMD, relaxed with GGA-PBE gives the calculated XRD peak list in this record (Cu Kα).
Intensities are scaled so that the largest is 1000.

Unit cell a=12.3643 b=12.3643 c=12.3643 alpha=90.00 beta=90.00 gamma=90.00
Space group Fm-3m (No. 225)
Inequivalent atoms, fractional coordinates:
Zr 0.0000 0.0000 0.2113 (multiplicity 24)
Zn 0.0000 0.0000 0.5000 (multiplicity 4)
Zn 0.0000 0.2500 0.2500 (multiplicity 24)
Zn 0.1234 0.1234 0.3766 (multiplicity 32)
Zn 0.1644 0.1644 0.1644 (multiplicity 32)
Si 0.0000 0.0000 0.0000 (multiplicity 4)

The 8 most intense peaks (2θ from 10° to 80°), by intensity:
(4 4 0), 2.186 Å, I 1000; (3 3 3), 2.380 Å, I 432; (8 4 4), 1.262 Å, I 152; (4 2 2), 2.524 Å, I 126; (6 0 0), 2.061 Å, I 110; (9 3 3), 1.243 Å, I 108; (5 3 1), 2.090 Å, I 101; (6 6 0), 1.457 Å, I 87

For PdPb2S3, a crystal structure in OQMD, relaxed with GGA-PBE gives the calculated XRD peak list in this record (Cu Kα).
Intensities are scaled so that the largest is 1000.

Unit cell a=3.9333 b=4.7012 c=15.2651 alpha=90.00 beta=90.00 gamma=90.00
Space group Immm (No. 71)
Inequivalent atoms, fractional coordinates:
Pd 0.0000 0.0000 0.0000 (multiplicity 2)
Pb 0.0000 0.0000 0.3532 (multiplicity 4)
S 0.0000 0.0000 0.1568 (multiplicity 4)
S 0.0000 0.5000 0.0000 (multiplicity 2)

The 8 most intense peaks (2θ from 10° to 80°), by intensity:
(1 1 0), 3.017 Å, I 1000; (1 0 3), 3.112 Å, I 741; (0 1 3), 3.453 Å, I 688; (1 2 3), 1.876 Å, I 362; (1 1 6), 1.945 Å, I 362; (1 1 4), 2.367 Å, I 348; (0 2 0), 2.351 Å, I 316; (0 0 6), 2.544 Å, I 263

For Dy4NiB13, a crystal structure in OQMD, relaxed with GGA-PBE gives the calculated XRD peak list in this record (Cu Kα).
Intensities are scaled so that the largest is 1000.

Unit cell a=7.3146 b=7.3146 c=6.8955 alpha=90.00 beta=90.00 gamma=90.00
Space group P4/mnc (No. 128)
Inequivalent atoms, fractional coordinates:
Dy 0.1799 0.3155 0.0000 (multiplicity 8)
Ni 0.0000 0.0000 0.5000 (multiplicity 2)
B 0.0000 0.0000 0.0000 (multiplicity 2)
B 0.0400 0.8300 0.2430 (multiplicity 16)
B 0.0923 0.5923 0.2500 (multiplicity 8)

The 8 most intense peaks (2θ from 10° to 80°), by intensity:
(2 1 2), 2.373 Å, I 1000; (2 1 0), 3.271 Å, I 956; (0 0 2), 3.448 Å, I 587; (4 1 2), 1.577 Å, I 393; (2 0 2), 2.509 Å, I 380; (2 0 0), 3.657 Å, I 375; (4 1 0), 1.774 Å, I 370; (3 1 2), 1.921 Å, I 286

For ZnGe, a crystal structure in OQMD, relaxed with GGA-PBE gives the calculated XRD peak list in this record (Cu Kα).
Intensities are scaled so that the largest is 1000.

Unit cell a=5.8135 b=5.8135 c=4.8201 alpha=90.00 beta=90.00 gamma=120.00
Space group P-6m2 (No. 187)
Inequivalent atoms, fractional coordinates:
Zn 0.0000 0.0000 0.0000 (multiplicity 1)
Zn 0.1620 0.3239 0.5000 (multiplicity 3)
Ge 0.0080 0.5040 0.0000 (multiplicity 3)
Ge 0.6667 0.3333 0.5000 (multiplicity 1)

The 8 most intense peaks (2θ from 10° to 80°), by intensity:
(2 0 1), 2.231 Å, I 1000; (0 0 2), 2.410 Å, I 280; (2 0 0), 2.517 Å, I 237; (2 0 3), 1.354 Å, I 190; (2 2 2), 1.245 Å, I 188; (2 2 0), 1.453 Å, I 161; (2 0 2), 1.741 Å, I 152; (4 0 1), 1.218 Å, I 131

For TbPrAl4Ni2, a crystal structure in OQMD, relaxed with GGA-PBE gives the calculated XRD peak list in this record (Cu Kα).
Intensities are scaled so that the largest is 1000.

Unit cell a=6.9182 b=4.0631 c=10.5747 alpha=90.00 beta=90.00 gamma=90.00
Space group Amm2 (No. 38)
Inequivalent atoms, fractional coordinates:
Tb 0.0000 0.0000 0.0000 (multiplicity 2)
Pr 0.5000 0.0000 0.1134 (multiplicity 2)
Al 0.1916 0.0000 0.7223 (multiplicity 4)
Al 0.3032 0.0000 0.3931 (multiplicity 4)
Ni 0.0000 0.0000 0.2729 (multiplicity 2)
Ni 0.5000 0.0000 0.8380 (multiplicity 2)

The 8 most intense peaks (2θ from 10° to 80°), by intensity:
(1 1 3), 2.485 Å, I 1000; (2 1 1), 2.556 Å, I 962; (0 1 1), 3.793 Å, I 694; (1 0 4), 2.470 Å, I 638; (2 0 0), 3.459 Å, I 529; (1 2 4), 1.569 Å, I 381; (3 1 3), 1.743 Å, I 329; (0 2 0), 2.032 Å, I 289

For CsTm2Cu3TeSe4, a crystal structure in OQMD, relaxed with GGA-PBE gives the calculated XRD peak list in this record (Cu Kα).
Intensities are scaled so that the largest is 1000.

Unit cell a=4.1630 b=14.6634 c=17.6474 alpha=90.00 beta=90.00 gamma=90.00
Space group Cmcm (No. 63)
Inequivalent atoms, fractional coordinates:
Cs 0.0000 0.0528 0.2500 (multiplicity 4)
Tm 0.0000 0.1894 0.5852 (multiplicity 8)
Cu 0.0000 0.3529 0.2500 (multiplicity 4)
Cu 0.0000 0.4160 0.5329 (multiplicity 8)
Te 0.0000 0.2422 0.7500 (multiplicity 4)
Se 0.0000 0.1701 0.0711 (multiplicity 8)
Se 0.0000 0.4381 0.1088 (multiplicity 8)

The 8 most intense peaks (2θ from 10° to 80°), by intensity:
(0 0 6), 2.941 Å, I 1000; (1 3 1), 3.119 Å, I 994; (1 3 2), 2.983 Å, I 812; (1 3 7), 1.973 Å, I 671; (2 0 0), 2.081 Å, I 656; (1 3 0), 3.170 Å, I 631; (1 5 0), 2.398 Å, I 601; (1 3 4), 2.574 Å, I 545

For Tb2AlOs3, a crystal structure in OQMD, relaxed with GGA-PBE gives the calculated XRD peak list in this record (Cu Kα).
Intensities are scaled so that the largest is 1000.

Unit cell a=5.4124 b=5.4124 c=8.6301 alpha=90.00 beta=90.00 gamma=120.00
Space group P6_3/mmc (No. 194)
Inequivalent atoms, fractional coordinates:
Tb 0.3333 0.6667 0.0677 (multiplicity 4)
Al 0.0000 0.0000 0.0000 (multiplicity 2)
Os 0.1710 0.3421 0.7500 (multiplicity 6)

The 8 most intense peaks (2θ from 10° to 80°), by intensity:
(2 0 1), 2.262 Å, I 1000; (1 0 3), 2.452 Å, I 665; (1 1 2), 2.293 Å, I 516; (2 0 5), 1.390 Å, I 310; (2 0 0), 2.344 Å, I 262; (0 0 2), 4.315 Å, I 260; (2 1 3), 1.508 Å, I 257; (2 2 0), 1.353 Å, I 223

For PrDyCu2Bi4, a crystal structure in OQMD, relaxed with GGA-PBE gives the calculated XRD peak list in this record (Cu Kα).
Intensities are scaled so that the largest is 1000.

Unit cell a=4.5814 b=4.5814 c=9.8165 alpha=90.00 beta=90.00 gamma=90.00
Space group P4mm (No. 99)
Inequivalent atoms, fractional coordinates:
Pr 0.0000 0.0000 0.0000 (multiplicity 1)
Dy 0.5000 0.5000 0.5284 (multiplicity 1)
Cu 0.0000 0.5000 0.7542 (multiplicity 2)
Bi 0.0000 0.0000 0.5927 (multiplicity 1)
Bi 0.0000 0.5000 0.2684 (multiplicity 2)
Bi 0.5000 0.5000 0.9180 (multiplicity 1)

The 8 most intense peaks (2θ from 10° to 80°), by intensity:
(1 1 2), 2.704 Å, I 1000; (2 0 0), 2.291 Å, I 473; (1 1 1), 3.076 Å, I 347; (3 1 2), 1.389 Å, I 261; (0 0 3), 3.272 Å, I 221; (2 0 3), 1.877 Å, I 193; (2 2 0), 1.620 Å, I 163; (1 0 2), 3.349 Å, I 158

For AlReAgH6, a crystal structure in OQMD, relaxed with GGA-PBE gives the calculated XRD peak list in this record (Cu Kα).
Intensities are scaled so that the largest is 1000.

Unit cell a=6.3883 b=6.3883 c=6.3883 alpha=90.00 beta=90.00 gamma=90.00
Space group F-43m (No. 216)
Inequivalent atoms, fractional coordinates:
Al 0.0000 0.0000 0.0000 (multiplicity 4)
Re 0.0000 0.0000 0.5000 (multiplicity 4)
Ag 0.2500 0.2500 0.2500 (multiplicity 4)
H 0.0484 0.2500 0.7500 (multiplicity 24)

The 8 most intense peaks (2θ from 10° to 80°), by intensity:
(2 2 0), 2.259 Å, I 1000; (1 1 1), 3.688 Å, I 870; (3 1 1), 1.926 Å, I 448; (4 2 2), 1.304 Å, I 339; (3 3 1), 1.466 Å, I 185; (4 0 0), 1.597 Å, I 173; (3 3 3), 1.229 Å, I 136; (2 0 0), 3.194 Å, I 109

For Dy2YTm2Lu2Ni2S2, a crystal structure in OQMD, relaxed with GGA-PBE gives the calculated XRD peak list in this record (Cu Kα).
Intensities are scaled so that the largest is 1000.

Unit cell a=3.7376 b=14.6806 c=9.0299 alpha=90.00 beta=90.00 gamma=90.00
Space group Imm2 (No. 44)
Inequivalent atoms, fractional coordinates:
Dy 0.0000 0.1367 0.0000 (multiplicity 4)
Y 0.0000 0.5000 0.7548 (multiplicity 2)
Tm 0.0000 0.1836 0.3652 (multiplicity 4)
Lu 0.0000 0.3795 0.1570 (multiplicity 4)
Ni 0.0000 0.2573 0.6702 (multiplicity 4)
S 0.0000 0.0000 0.5072 (multiplicity 2)
S 0.0000 0.5000 0.4024 (multiplicity 2)

The 8 most intense peaks (2θ from 10° to 80°), by intensity:
(1 4 1), 2.515 Å, I 1000; (1 1 2), 2.825 Å, I 632; (1 3 2), 2.481 Å, I 609; (0 3 3), 2.564 Å, I 582; (0 1 3), 2.949 Å, I 371; (0 5 1), 2.792 Å, I 362; (1 0 1), 3.453 Å, I 290; (2 0 0), 1.869 Å, I 285